Record 1
Theoretical powder diffraction line list of HfMg6TiO8 for Cu Ka, from a crystal structure in the Materials Project, relaxed with PBE.

Main lines, by angle (2θ = 10–90°):
| two_theta | I (rel.) |
| --- | --- |
| 10.0 | 100 |
| 23.0 | 39 |
| 31.1 | 34 |
| 35.8 | 46 |
| 42.0 | 63 |
| 60.0 | 39 |

Crystal structure
a b c (Å): 4.3040 4.3040 8.8301
angles (deg): 90.00 90.00 90.00
Fractional positions:
Hf: 0.0000 0.0000 0.0000
Mg: 0.0000 0.0000 0.5000
Mg: 0.0000 0.5000 0.2571
Mg: 0.0000 0.5000 0.7429
Mg: 0.5000 0.0000 0.2571
Mg: 0.5000 0.0000 0.7429
Mg: 0.5000 0.5000 0.5000
Ti: 0.5000 0.5000 0.0000
O: 0.0000 0.0000 0.2571
O: 0.0000 0.0000 0.7429
O: 0.0000 0.5000 0.0000
O: 0.0000 0.5000 0.5000
O: 0.5000 0.0000 0.0000
O: 0.5000 0.0000 0.5000
O: 0.5000 0.5000 0.2600
O: 0.5000 0.5000 0.7400


Record 2
Theoretical powder diffraction line list of TmAl6Fe6 for Cu Ka, from a crystal structure in the Materials Project, relaxed with PBE.

Main lines, by angle (2θ = 10–90°):
| two_theta | I (rel.) |
| --- | --- |
| 14.6 | 58 |
| 29.5 | 81 |
| 41.8 | 100 |
| 42.0 | 95 |
| 42.6 | 41 |
| 61.2 | 42 |

Crystal structure
a b c (Å): 6.5541 6.5541 6.5541
angles (deg): 135.20 99.21 97.49
Fractional positions:
Tm: 0.0000 0.0000 0.0000
Al: 0.1891 0.6891 0.5000
Al: 0.3360 0.0000 0.3360
Al: 0.3459 0.3459 0.0000
Al: 0.6541 0.6541 0.0000
Al: 0.6640 0.0000 0.6640
Al: 0.8109 0.3109 0.5000
Fe: 0.0000 0.0000 0.5000
Fe: 0.0000 0.5000 0.0000
Fe: 0.2407 0.5000 0.7407
Fe: 0.5000 0.0000 0.0000
Fe: 0.5000 0.5000 0.5000
Fe: 0.7593 0.5000 0.2593


Record 3
Theoretical powder diffraction line list of Lu2Si9B36C for Cu Ka, from a crystal structure in the Materials Project, relaxed with PBE.

Main lines, by angle (2θ = 10–90°):
| two_theta | I (rel.) |
| --- | --- |
| 11.5 | 100 |
| 14.7 | 57 |
| 23.9 | 89 |
| 29.8 | 64 |
| 35.6 | 48 |
| 39.3 | 48 |

Crystal structure
a b c (Å): 8.0241 8.0241 7.9887
angles (deg): 101.94 101.94 78.05
Fractional positions:
Lu: 0.2502 0.7498 0.0000
Lu: 0.7498 0.2502 0.0000
Si: 0.0123 0.0123 0.8396
Si: 0.0157 0.4052 0.2455
Si: 0.0953 0.4838 0.7558
Si: 0.1781 0.1781 0.0734
Si: 0.3201 0.3201 0.9286
Si: 0.4052 0.0157 0.2455
Si: 0.4838 0.0953 0.7558
Si: 0.4868 0.4868 0.1601
Si: 0.7944 0.7944 0.4577
B: 0.0460 0.7557 0.4947
B: 0.1243 0.7686 0.3032
B: 0.1237 0.9510 0.4813
B: 0.1695 0.5699 0.3938
B: 0.1705 0.8569 0.6773
B: 0.1953 0.6235 0.6265
B: 0.3124 0.8722 0.3784
B: 0.3372 0.6416 0.3285
B: 0.3381 0.9249 0.6083
B: 0.3775 0.7279 0.7014
B: 0.3777 0.5454 0.5229
B: 0.4728 0.7316 0.5184
B: 0.5454 0.3777 0.5229
B: 0.5481 0.7289 0.8724
B: 0.5688 0.8587 0.0818
B: 0.5699 0.1695 0.3938
B: 0.6235 0.1953 0.6265
B: 0.6238 0.6238 0.0557
B: 0.6397 0.9263 0.9114
B: 0.6416 0.3372 0.3285
B: 0.7279 0.3775 0.7014
B: 0.7289 0.5481 0.8724
B: 0.7316 0.4728 0.5184
B: 0.7319 0.7319 0.7757
B: 0.7552 0.7552 0.2056
B: 0.7557 0.0460 0.4947
B: 0.7676 0.9479 0.1265
B: 0.7686 0.1243 0.3032
B: 0.8569 0.1705 0.6773
B: 0.8587 0.5688 0.0818
B: 0.8722 0.3124 0.3784
B: 0.8717 0.8717 0.9370
B: 0.9249 0.3381 0.6083
B: 0.9263 0.6397 0.9114
B: 0.9479 0.7676 0.1265
B: 0.9510 0.1237 0.4813
C: 0.6819 0.6819 0.5670


Record 4
Theoretical powder diffraction line list of VIr for Cu Ka, from a crystal structure in the Materials Project, relaxed with PBE.

Main lines, by angle (2θ = 10–90°):
| two_theta | I (rel.) |
| --- | --- |
| 25.3 | 28 |
| 31.8 | 43 |
| 41.1 | 100 |
| 44.6 | 23 |
| 46.5 | 17 |
| 52.0 | 18 |

Crystal structure
a b c (Å): 7.0413 7.8045 4.0633
angles (deg): 90.00 90.00 90.00
Fractional positions:
V: 0.0000 0.0937 0.2500
V: 0.0000 0.3323 0.7500
V: 0.0000 0.6677 0.2500
V: 0.0000 0.9063 0.7500
V: 0.5000 0.1677 0.2500
V: 0.5000 0.4063 0.7500
V: 0.5000 0.5937 0.2500
V: 0.5000 0.8323 0.7500
Ir: 0.2195 0.3760 0.2500
Ir: 0.2195 0.6240 0.7500
Ir: 0.2805 0.1240 0.7500
Ir: 0.2805 0.8760 0.2500
Ir: 0.7195 0.1240 0.7500
Ir: 0.7195 0.8760 0.2500
Ir: 0.7805 0.3760 0.2500
Ir: 0.7805 0.6240 0.7500


Record 5
Theoretical powder diffraction line list of ZrAlFe for Cu Ka, from a crystal structure in the Materials Project, relaxed with PBE.

Main lines, by angle (2θ = 10–90°):
| two_theta | I (rel.) |
| --- | --- |
| 35.0 | 38 |
| 38.2 | 100 |
| 38.3 | 36 |
| 40.9 | 34 |
| 41.4 | 91 |
| 41.8 | 67 |

Crystal structure
a b c (Å): 5.1249 8.3213 5.1315
angles (deg): 90.00 119.11 90.00
Fractional positions:
Zr: 0.0000 0.1761 0.0000
Zr: 0.0000 0.8239 0.0000
Zr: 0.6637 0.2994 0.3363
Zr: 0.6637 0.7006 0.3363
Al: 0.1638 0.5000 0.3270
Al: 0.3257 0.2355 0.6771
Al: 0.3257 0.7645 0.6771
Al: 0.6730 0.5000 0.8379
Fe: 0.1625 0.5000 0.8361
Fe: 0.5026 0.0000 0.5025
Fe: 0.5065 0.0000 0.0302
Fe: 0.9706 0.0000 0.4969